This entry pairs a crystal structure of Li2AgF3 with its simulated powder diffractogram. Radiation: Cu Kα, 1.54184 Å. Structure: DFT lattice parameters and positions (GGA-PBE).
Neutral-atom scattering factors, no anomalous dispersion.

Top 10 peaks for 2θ from 15° to 90°, by angle:
d/Å  intensity  index
3.648  100.0  1 0 2
3.203  40.9  4 0 0
2.841  35.1  3 0 2
2.744  57.1  0 1 1
2.683  67.7  1 1 1
2.522  51.7  2 1 1
2.125  48.9  5 0 2
2.084  50.8  4 1 1
1.900  63.4  1 1 3
1.685  34.5  6 1 1

Lattice parameters (Å, degrees): 12.8100 2.9419 7.6102 90.00 90.00 90.00
Space group Pnma (No. 62)
Inequivalent atoms, fractional coordinates:
Li 0.0089 0.2500 0.1482 x4
Li 0.0838 0.7500 0.4700 x4
Ag 0.2446 0.2500 0.6638 x4
F 0.0459 0.2500 0.6561 x4
F 0.0879 0.7500 0.0459 x4
F 0.1639 0.2500 0.3744 x4